The following is a simulated powder X-ray diffraction pattern of Ca2Pb. It was derived from DFT lattice parameters and positions (GGA-PBE), using λ = 1.5418 Å (Cu Kα).
Intensities are scaled so that the largest is 1000.

Largest 8 diffraction maxima, in order of rising 2θ, 5° ≤ 2θ ≤ 70°:
- 19.5°, rel. 496
- 21.4°, rel. 970
- 22.3°, rel. 512
- 22.5°, rel. 994
- 29.8°, rel. 1000
- 32.7°, rel. 692
- 34.8°, rel. 438
- 39.9°, rel. 488

Lattice parameters (Å, degrees): 7.9883 5.1533 9.7080 90.00 90.00 90.00
Fractional coordinates of all 12 atoms:
Ca 0.0214 0.2500 0.1854
Ca 0.1585 0.2500 0.5699
Ca 0.3415 0.7500 0.0699
Ca 0.4786 0.7500 0.6854
Ca 0.5214 0.2500 0.3146
Ca 0.6585 0.2500 0.9301
Ca 0.8415 0.7500 0.4301
Ca 0.9786 0.7500 0.8146
Pb 0.2481 0.2500 0.8907
Pb 0.2519 0.7500 0.3907
Pb 0.7481 0.2500 0.6093
Pb 0.7519 0.7500 0.1093

---

The following is a simulated powder X-ray diffraction pattern of Sr5Mg. It was derived from DFT lattice parameters and positions (GGA-PBE), using λ = 1.5418 Å (Cu Kα).
Intensities are scaled so that the largest is 1000.

Largest 8 diffraction maxima, in order of rising 2θ, 5° ≤ 2θ ≤ 70°:
- 25.1°, rel. 237
- 26.1°, rel. 284
- 28.4°, rel. 1000
- 36.5°, rel. 184
- 44.2°, rel. 194
- 47.5°, rel. 237
- 52.1°, rel. 238
- 53.4°, rel. 166

Lattice parameters (Å, degrees): 7.9595 7.9595 7.9595 52.93 52.93 52.93
Fractional coordinates of all 6 atoms:
Sr 0.0000 0.6621 0.3379
Sr 0.1663 0.1663 0.1663
Sr 0.3379 0.0000 0.6621
Sr 0.6621 0.3379 0.0000
Sr 0.8337 0.8337 0.8337
Mg 0.5000 0.5000 0.5000

---

The following is a simulated powder X-ray diffraction pattern of Y14MgRe2O28. It was derived from DFT lattice parameters and positions (GGA-PBE), using λ = 1.5418 Å (Cu Kα).
Intensities are scaled so that the largest is 1000.

Largest 8 diffraction maxima, in order of rising 2θ, 5° ≤ 2θ ≤ 70°:
- 28.6°, rel. 974
- 28.7°, rel. 1000
- 33.1°, rel. 411
- 47.7°, rel. 471
- 47.8°, rel. 343
- 56.4°, rel. 266
- 56.6°, rel. 247
- 56.9°, rel. 218

Lattice parameters (Å, degrees): 7.6625 7.6269 10.7242 90.00 90.09 90.00
Fractional coordinates of all 45 atoms:
Y 0.0000 0.0000 0.0000
Y 0.0054 0.5000 0.9975
Y 0.2403 0.2270 0.7470
Y 0.2403 0.7730 0.7470
Y 0.2797 0.2597 0.2440
Y 0.2797 0.7403 0.2440
Y 0.4922 0.5000 0.5281
Y 0.4994 0.0000 0.0078
Y 0.5016 0.0000 0.5175
Y 0.7367 0.2643 0.7776
Y 0.7367 0.7357 0.7776
Y 0.7434 0.2217 0.2762
Y 0.7434 0.7783 0.2762
Y 0.9868 0.5000 0.5394
Mg 0.9978 0.5000 0.2683
Re 0.0049 0.0000 0.5083
Re 0.4981 0.5000 0.0103
O 0.0092 0.2583 0.8823
O 0.0092 0.7417 0.8823
O 0.0645 0.1766 0.3954
O 0.0645 0.8234 0.3954
O 0.2088 0.5000 0.3660
O 0.2276 0.0000 0.5986
O 0.2329 0.5000 0.6497
O 0.2664 0.0000 0.1430
O 0.2660 0.0000 0.8761
O 0.2718 0.5000 0.0949
O 0.4447 0.3131 0.8987
O 0.4447 0.6869 0.8987
O 0.4874 0.2363 0.3848
O 0.4874 0.7637 0.3848
O 0.5078 0.2288 0.6486
O 0.5078 0.7712 0.6486
O 0.5478 0.3090 0.1287
O 0.5478 0.6910 0.1287
O 0.7252 0.0000 0.8753
O 0.7284 0.5000 0.9270
O 0.7453 0.0000 0.1432
O 0.7471 0.5000 0.6504
O 0.7697 0.0000 0.4267
O 0.7946 0.5000 0.3735
O 0.9471 0.1953 0.6241
O 0.9471 0.8047 0.6241
O 0.9822 0.3008 0.1583
O 0.9822 0.6992 0.1583

---

The following is a simulated powder X-ray diffraction pattern of SmAlCu4. It was derived from DFT lattice parameters and positions (GGA-PBE), using λ = 1.5418 Å (Cu Kα).
Intensities are scaled so that the largest is 1000.

Largest 8 diffraction maxima, in order of rising 2θ, 5° ≤ 2θ ≤ 70°:
- 29.7°, rel. 734
- 34.0°, rel. 265
- 39.5°, rel. 546
- 41.0°, rel. 1000
- 45.4°, rel. 256
- 58.2°, rel. 219
- 61.7°, rel. 279
- 65.6°, rel. 237

Lattice parameters (Å, degrees): 5.2731 5.2731 3.9959 90.00 90.00 120.00
Fractional coordinates of all 6 atoms:
Sm 0.0000 0.0000 0.0000
Al 0.3333 0.6667 0.0000
Cu 0.5012 0.0025 0.5000
Cu 0.5012 0.4988 0.5000
Cu 0.6667 0.3333 0.0000
Cu 0.9975 0.4988 0.5000

---

The following is a simulated powder X-ray diffraction pattern of Y8Rh5C12. It was derived from DFT lattice parameters and positions (GGA-PBE), using λ = 1.5418 Å (Cu Kα).
Intensities are scaled so that the largest is 1000.

Largest 8 diffraction maxima, in order of rising 2θ, 5° ≤ 2θ ≤ 70°:
- 29.7°, rel. 427
- 32.0°, rel. 469
- 32.5°, rel. 533
- 33.7°, rel. 1000
- 35.2°, rel. 636
- 35.8°, rel. 952
- 36.3°, rel. 635
- 51.2°, rel. 502

Lattice parameters (Å, degrees): 14.1228 14.1228 7.4388 93.78 93.78 14.53
Fractional coordinates of all 25 atoms:
Y 0.0468 0.0468 0.2971
Y 0.0880 0.0880 0.8285
Y 0.1997 0.1997 0.6093
Y 0.2064 0.2064 0.1161
Y 0.7936 0.7936 0.8839
Y 0.8003 0.8003 0.3907
Y 0.9120 0.9120 0.1715
Y 0.9532 0.9532 0.7029
Rh 0.3832 0.3832 0.8720
Rh 0.3901 0.3901 0.5076
Rh 0.5000 0.5000 0.0000
Rh 0.6099 0.6099 0.4924
Rh 0.6168 0.6168 0.1280
C 0.2838 0.2838 0.6354
C 0.2931 0.2931 0.1311
C 0.3317 0.3317 0.6530
C 0.3413 0.3413 0.1258
C 0.4521 0.4521 0.3859
C 0.4772 0.4772 0.2445
C 0.5228 0.5228 0.7555
C 0.5479 0.5479 0.6141
C 0.6587 0.6587 0.8742
C 0.6683 0.6683 0.3470
C 0.7069 0.7069 0.8689
C 0.7162 0.7162 0.3646

---

Number 5 is which compound?
Y8Rh5C12